Entry 1:
Calculated powder X-ray diffraction pattern
Compound: B2OsW2
Radiation: Cu Kα
Structure: a PBE-relaxed structure
Kinematic intensities with the Lorentz-polarization factor, no thermal factor.

The 10 most intense peaks (10 to 90 degrees two-theta), low angle first:
2θ (°)  Rel. int.
31.2  27
32.6  18
36.7  17
37.2  44
40.2  43
42.1  100
42.2  17
49.3  15
70.4  16
74.5  15

Structural model:
```
data_B2OsW2
_chemical_formula_sum 'B8 Os4 W8'
_cell_length_a 7.5987
_cell_length_b 9.6656
_cell_length_c 3.0933
_cell_angle_alpha 90.00
_cell_angle_beta 90.00
_cell_angle_gamma 90.00
_space_group_name_H-M_alt 'P 1'
_space_group_IT_number 1
_space_group_name_Hall 'P 1'
loop_
_atom_site_label
_atom_site_type_symbol
_atom_site_fract_x
_atom_site_fract_y
_atom_site_fract_z
B1 B 0.1166 0.0386 0.0000
B2 B 0.1257 0.2315 0.0000
B3 B 0.3743 0.7315 0.5000
B4 B 0.3834 0.5386 0.5000
B5 B 0.6166 0.4614 0.5000
B6 B 0.6257 0.2685 0.5000
B7 B 0.8743 0.7685 0.0000
B8 B 0.8834 0.9614 0.0000
Os1 Os 0.1191 0.3924 0.5000
Os2 Os 0.3809 0.8924 0.0000
Os3 Os 0.6191 0.1076 0.0000
Os4 Os 0.8809 0.6076 0.5000
W1 W 0.0725 0.8601 0.5000
W2 W 0.1912 0.6302 0.0000
W3 W 0.3088 0.1302 0.5000
W4 W 0.4275 0.3601 0.0000
W5 W 0.5725 0.6399 0.0000
W6 W 0.6912 0.8698 0.5000
W7 W 0.8088 0.3698 0.0000
W8 W 0.9275 0.1399 0.5000
```

Entry 2:
Calculated powder X-ray diffraction pattern
Compound: Ba4Li2Cd3As6
Radiation: Cu Kα
Structure: a PBE-relaxed structure
Kinematic intensities with the Lorentz-polarization factor, no thermal factor.

The 10 most intense peaks (10 to 90 degrees two-theta), low angle first:
2θ (°)  Rel. int.
23.6  49
27.1  67
28.4  58
28.9  44
29.3  66
31.0  80
32.8  100
35.6  57
38.6  89
62.2  66

Structural model:
```
data_Ba4Li2Cd3As6
_chemical_formula_sum 'Ba8 Li4 Cd6 As12'
_cell_length_a 10.5785
_cell_length_b 10.5785
_cell_length_c 17.3746
_cell_angle_alpha 90.00
_cell_angle_beta 90.00
_cell_angle_gamma 154.53
_space_group_name_H-M_alt 'P 1'
_space_group_IT_number 1
_space_group_name_Hall 'P 1'
loop_
_atom_site_label
_atom_site_type_symbol
_atom_site_fract_x
_atom_site_fract_y
_atom_site_fract_z
Ba1 Ba 0.0166 0.9834 0.6216
Ba2 Ba 0.0166 0.9834 0.8784
Ba3 Ba 0.1732 0.8268 0.0697
Ba4 Ba 0.1732 0.8268 0.4303
Ba5 Ba 0.8268 0.1732 0.5697
Ba6 Ba 0.8268 0.1732 0.9303
Ba7 Ba 0.9834 0.0166 0.1216
Ba8 Ba 0.9834 0.0166 0.3784
Li1 Li 0.1491 0.8509 0.7500
Li2 Li 0.4361 0.5639 0.7500
Li3 Li 0.5639 0.4361 0.2500
Li4 Li 0.8509 0.1491 0.2500
Cd1 Cd 0.2961 0.7039 0.7500
Cd2 Cd 0.3510 0.6490 0.1234
Cd3 Cd 0.3510 0.6490 0.3766
Cd4 Cd 0.6490 0.3510 0.6234
Cd5 Cd 0.6490 0.3510 0.8766
Cd6 Cd 0.7039 0.2961 0.2500
As1 As 0.1195 0.8805 0.2500
As2 As 0.2196 0.7804 0.6176
As3 As 0.2196 0.7804 0.8824
As4 As 0.4319 0.5681 0.2500
As5 As 0.4397 0.5603 0.5133
As6 As 0.4397 0.5603 0.9867
As7 As 0.5603 0.4397 0.0133
As8 As 0.5603 0.4397 0.4867
As9 As 0.5681 0.4319 0.7500
As10 As 0.7804 0.2196 0.1176
As11 As 0.7804 0.2196 0.3824
As12 As 0.8805 0.1195 0.7500
```

Entry 3:
Calculated powder X-ray diffraction pattern
Compound: Dy8Ga3Co
Radiation: Cu Kα
Structure: a PBE-relaxed structure
Kinematic intensities with the Lorentz-polarization factor, no thermal factor.

The 10 most intense peaks (10 to 90 degrees two-theta), low angle first:
2θ (°)  Rel. int.
24.2  18
30.1  46
31.4  22
33.1  100
33.6  20
35.8  90
40.5  12
49.6  17
61.5  17
65.6  16

Structural model:
```
data_Dy8Ga3Co
_chemical_formula_sum 'Dy16 Ga6 Co2'
_cell_length_a 10.0262
_cell_length_b 10.0262
_cell_length_c 6.9181
_cell_angle_alpha 90.00
_cell_angle_beta 90.00
_cell_angle_gamma 120.00
_space_group_name_H-M_alt 'P 1'
_space_group_IT_number 1
_space_group_name_Hall 'P 1'
loop_
_atom_site_label
_atom_site_type_symbol
_atom_site_fract_x
_atom_site_fract_y
_atom_site_fract_z
Dy1 Dy 0.0000 0.0000 0.0241
Dy2 Dy 0.0000 0.0000 0.5241
Dy3 Dy 0.0732 0.5366 0.0000
Dy4 Dy 0.1727 0.3453 0.3030
Dy5 Dy 0.1727 0.8273 0.3030
Dy6 Dy 0.3333 0.6667 0.6202
Dy7 Dy 0.3453 0.1727 0.8030
Dy8 Dy 0.4634 0.5366 0.0000
Dy9 Dy 0.4634 0.9268 0.0000
Dy10 Dy 0.5366 0.0732 0.5000
Dy11 Dy 0.5366 0.4634 0.5000
Dy12 Dy 0.6547 0.8273 0.3030
Dy13 Dy 0.6667 0.3333 0.1202
Dy14 Dy 0.8273 0.1727 0.8030
Dy15 Dy 0.8273 0.6547 0.8030
Dy16 Dy 0.9268 0.4634 0.5000
Ga1 Ga 0.1634 0.3268 0.7528
Ga2 Ga 0.1634 0.8366 0.7528
Ga3 Ga 0.3268 0.1634 0.2528
Ga4 Ga 0.6732 0.8366 0.7528
Ga5 Ga 0.8366 0.1634 0.2528
Ga6 Ga 0.8366 0.6732 0.2528
Co1 Co 0.3333 0.6667 0.2371
Co2 Co 0.6667 0.3333 0.7371
```

Entry 4:
Calculated powder X-ray diffraction pattern
Compound: CeSe2
Radiation: Cu Kα
Structure: a PBE-relaxed structure
Kinematic intensities with the Lorentz-polarization factor, no thermal factor.

The 10 most intense peaks (10 to 90 degrees two-theta), low angle first:
2θ (°)  Rel. int.
13.7  43
25.2  43
26.2  56
28.8  57
32.8  100
37.7  87
43.4  36
44.4  37
45.0  49
56.3  29

Structural model:
```
data_CeSe2
_chemical_formula_sum 'Ce1 Se2'
_cell_length_a 4.0792
_cell_length_b 4.0792
_cell_length_c 12.9140
_cell_angle_alpha 90.00
_cell_angle_beta 90.00
_cell_angle_gamma 120.00
_space_group_name_H-M_alt 'P 1'
_space_group_IT_number 1
_space_group_name_Hall 'P 1'
loop_
_atom_site_label
_atom_site_type_symbol
_atom_site_fract_x
_atom_site_fract_y
_atom_site_fract_z
Ce1 Ce 0.0000 0.0000 0.0000
Se1 Se 0.3333 0.6667 0.1302
Se2 Se 0.3333 0.6667 0.8698
```

Entry 5:
Calculated powder X-ray diffraction pattern
Compound: GaGeS4
Radiation: Cu Kα
Structure: a PBE-relaxed structure
Kinematic intensities with the Lorentz-polarization factor, no thermal factor.

The 10 most intense peaks (10 to 90 degrees two-theta), low angle first:
2θ (°)  Rel. int.
14.4  100
18.1  13
22.4  34
26.5  17
29.1  47
29.2  23
31.7  23
49.9  15
50.1  16
51.8  16

Structural model:
```
data_GaGeS4
_chemical_formula_sum 'Ga4 Ge4 S16'
_cell_length_a 11.3442
_cell_length_b 11.3442
_cell_length_c 12.4306
_cell_angle_alpha 116.95
_cell_angle_beta 116.95
_cell_angle_gamma 90.05
_space_group_name_H-M_alt 'P 1'
_space_group_IT_number 1
_space_group_name_Hall 'P 1'
loop_
_atom_site_label
_atom_site_type_symbol
_atom_site_fract_x
_atom_site_fract_y
_atom_site_fract_z
Ga1 Ga 0.1091 0.8909 0.5000
Ga2 Ga 0.2782 0.8093 0.7737
Ga3 Ga 0.8093 0.2782 0.2737
Ga4 Ga 0.8909 0.1091 0.0000
Ge1 Ge 0.0244 0.9944 0.7678
Ge2 Ge 0.6420 0.9262 0.0070
Ge3 Ge 0.9262 0.6420 0.5070
Ge4 Ge 0.9944 0.0244 0.2678
S1 S 0.0577 0.0689 0.6419
S2 S 0.0689 0.0577 0.1419
S3 S 0.1185 0.6004 0.6314
S4 S 0.1677 0.9565 0.3797
S5 S 0.2218 0.9799 0.9190
S6 S 0.3182 0.8707 0.6387
S7 S 0.4648 0.7503 0.8928
S8 S 0.6004 0.1185 0.1314
S9 S 0.6875 0.9425 0.8552
S10 S 0.7503 0.4648 0.3928
S11 S 0.8024 0.8552 0.1374
S12 S 0.8552 0.8024 0.6374
S13 S 0.8707 0.3182 0.1387
S14 S 0.9425 0.6875 0.3552
S15 S 0.9565 0.1677 0.8797
S16 S 0.9799 0.2218 0.4190
```

Entry 6:
Calculated powder X-ray diffraction pattern
Compound: Mg3Si2
Radiation: Cu Kα
Structure: a PBE-relaxed structure
Kinematic intensities with the Lorentz-polarization factor, no thermal factor.

The 10 most intense peaks (10 to 90 degrees two-theta), low angle first:
2θ (°)  Rel. int.
33.5  30
35.0  52
35.8  100
36.9  21
38.5  18
38.9  20
39.8  72
41.2  23
41.5  51
47.6  17

Structural model:
```
data_Mg3Si2
_chemical_formula_sum 'Mg12 Si8'
_cell_length_a 5.0871
_cell_length_b 5.6593
_cell_length_c 13.7496
_cell_angle_alpha 97.40
_cell_angle_beta 98.26
_cell_angle_gamma 92.05
_space_group_name_H-M_alt 'P 1'
_space_group_IT_number 1
_space_group_name_Hall 'P 1'
loop_
_atom_site_label
_atom_site_type_symbol
_atom_site_fract_x
_atom_site_fract_y
_atom_site_fract_z
Mg1 Mg 0.0000 0.0000 0.0000
Mg2 Mg 0.0000 0.0000 0.5000
Mg3 Mg 0.0376 0.4789 0.3749
Mg4 Mg 0.0714 0.4166 0.8763
Mg5 Mg 0.4116 0.8951 0.8679
Mg6 Mg 0.4687 0.6180 0.2482
Mg7 Mg 0.4788 0.1034 0.3762
Mg8 Mg 0.5212 0.8966 0.6238
Mg9 Mg 0.5313 0.3820 0.7518
Mg10 Mg 0.5884 0.1049 0.1321
Mg11 Mg 0.9286 0.5834 0.1237
Mg12 Mg 0.9624 0.5211 0.6251
Si1 Si 0.0699 0.0697 0.6979
Si2 Si 0.1257 0.1903 0.2027
Si3 Si 0.4023 0.3707 0.5504
Si4 Si 0.4062 0.6643 0.0479
Si5 Si 0.5938 0.3357 0.9521
Si6 Si 0.5977 0.6293 0.4496
Si7 Si 0.8743 0.8097 0.7973
Si8 Si 0.9301 0.9303 0.3021
```